Record 1
Diffraction record for TcCl3F6. The powder diffractogram is theoretical, not measured: it uses a GGA-PBE-relaxed structure and copper Kα.
Peak positions follow from Bragg's law for the DFT cell and can differ from measured ones.

Atomic structure:
```
TcCl3F6
1.0
5.7232 -3.6244 0.0000
5.7232 3.6244 0.0000
-0.5663 0.0000 5.5614
Tc Cl F
1 3 6
Cartesian
0.0000 0.0000 0.0000 Tc
3.3646 0.0000 3.4626 Cl
5.4401 0.0000 2.7807 Cl
7.5155 0.0000 2.0988 Cl
0.7115 0.0000 1.7223 F
4.5012 2.3078 0.5064 F
6.3789 2.3078 5.0550 F
4.5012 -2.3078 0.5064 F
6.3789 -2.3078 5.0550 F
10.1686 0.0000 3.8391 F
```

Largest 8 diffraction maxima, low angle first, 2θ from 10° to 90°:
2theta	I (rel.)
14.5	50
15.6	50
21.0	45
21.2	23
22.2	100
24.6	34
26.5	24
32.6	24

***

Record 2
Diffraction record for Cs5Th3Te8. The powder diffractogram is theoretical, not measured: it uses a GGA-PBE-relaxed structure and copper Kα.
Peak positions follow from Bragg's law for the DFT cell and can differ from measured ones.

Atomic structure:
```
Cs5Th3Te8
1.0
4.8446 2.7970 8.8667
-4.8446 2.7970 8.8667
0.0000 -5.5941 8.8667
Cs Th Te
5 3 8
Cartesian
0.0000 0.0000 0.0000 Cs
-2.4223 -1.3985 8.8667 Cs
-2.4223 1.3985 17.7334 Cs
0.0000 2.7970 8.8667 Cs
0.0000 0.0000 13.3000 Cs
-4.8446 0.0000 13.3000 Th
-2.4223 1.3985 4.4333 Th
2.4223 1.3985 4.4333 Th
-2.7023 -1.5602 15.0363 Te
0.0000 0.0000 6.1320 Te
0.0000 -3.1204 11.5638 Te
-2.7023 1.5602 11.5638 Te
2.7023 -1.5602 15.0363 Te
0.0000 3.1204 15.0363 Te
0.0000 0.0000 20.4681 Te
2.7023 1.5602 11.5638 Te
```

Largest 8 diffraction maxima, low angle first, 2θ from 10° to 90°:
2theta	I (rel.)
25.1	100
31.8	11
34.4	34
37.1	37
45.3	19
51.5	11
60.0	14
65.2	13

***

Record 3
Diffraction record for TlIn. The powder diffractogram is theoretical, not measured: it uses a GGA-PBE-relaxed structure and copper Kα.
Peak positions follow from Bragg's law for the DFT cell and can differ from measured ones.

Atomic structure:
```
TlIn
1.0
1.9508 -2.7275 0.0000
1.9508 2.7275 0.0000
0.0000 0.0000 5.4831
Tl In
1 1
Cartesian
0.0000 0.0000 0.0000 Tl
1.9508 0.0000 2.7415 In
```

Largest 8 diffraction maxima, low angle first, 2θ from 10° to 90°:
2theta	I (rel.)
32.6	100
32.8	20
47.0	15
58.0	8
58.3	15
58.5	15
68.3	9
78.1	10

***

Record 4
Diffraction record for SrLaCu. The powder diffractogram is theoretical, not measured: it uses a GGA-PBE-relaxed structure and copper Kα.
Peak positions follow from Bragg's law for the DFT cell and can differ from measured ones.

Atomic structure:
```
SrLaCu
1.0
4.4733 0.0000 0.0000
0.0000 3.9626 0.0000
0.0000 0.0000 12.0735
Sr La Cu
2 2 2
Cartesian
1.1183 0.0000 1.7312 Sr
3.3550 0.0000 10.3423 Sr
1.1183 1.9813 7.5628 La
3.3550 1.9813 4.5107 La
1.1183 0.0000 5.2640 Cu
3.3550 0.0000 6.8095 Cu
```

Largest 8 diffraction maxima, low angle first, 2θ from 10° to 90°:
2theta	I (rel.)
24.8	70
29.6	36
31.0	100
31.7	52
37.7	61
40.3	28
49.7	22
52.2	25

***

Record 5
Diffraction record for KPb3Se3. The powder diffractogram is theoretical, not measured: it uses a GGA-PBE-relaxed structure and copper Kα.
Peak positions follow from Bragg's law for the DFT cell and can differ from measured ones.

Atomic structure:
```
KPb3Se3
1.0
3.7557 2.1684 10.5050
-3.7557 2.1684 10.5050
0.0000 -4.3367 10.5050
K Pb Se
2 6 6
Cartesian
0.0000 0.0000 5.2706 K
0.0000 0.0000 26.2443 K
-1.1173 -2.3618 11.9618 Pb
-2.6040 -0.2133 19.5531 Pb
-1.4867 2.1485 11.9618 Pb
1.4867 -2.1485 19.5530 Pb
2.6040 0.2133 11.9618 Pb
1.1173 2.3617 19.5530 Pb
-2.5643 0.0422 13.4731 Se
-1.3186 -2.1997 18.0418 Se
1.2456 -2.2418 13.4731 Se
-1.2456 2.2418 18.0417 Se
1.3186 2.1997 13.4731 Se
2.5643 -0.0421 18.0418 Se
```

Largest 8 diffraction maxima, low angle first, 2θ from 10° to 90°:
2theta	I (rel.)
23.7	30
25.2	29
29.2	100
35.0	33
41.7	34
42.0	17
49.7	23
51.7	17

***

Record 6
Diffraction record for Pr5HoTm2Th. The powder diffractogram is theoretical, not measured: it uses a GGA-PBE-relaxed structure and copper Kα.
Peak positions follow from Bragg's law for the DFT cell and can differ from measured ones.

Atomic structure:
```
Pr5HoTm2Th
1.0
2.7182 -10.8190 0.0000
2.7182 10.8190 0.0000
0.0000 0.0000 10.6808
Pr Ho Tm Th
10 2 4 2
Cartesian
0.0000 0.0000 0.0000 Pr
0.0000 0.0000 5.3404 Pr
2.7182 8.0952 8.0106 Pr
2.7182 6.0230 0.6088 Pr
2.7182 6.0230 4.7316 Pr
2.7182 0.0474 2.6702 Pr
2.7182 -0.0474 8.0106 Pr
2.7182 -6.0230 5.9492 Pr
2.7182 -6.0230 10.0720 Pr
2.7182 -8.0952 2.6702 Pr
2.7182 8.6219 2.6702 Ho
2.7182 -8.6219 8.0106 Ho
2.7182 2.4340 5.3996 Tm
2.7182 2.4340 10.6216 Tm
2.7182 -2.4340 0.0592 Tm
2.7182 -2.4340 5.2812 Tm
2.7182 4.5906 8.0106 Th
2.7182 -4.5906 2.6702 Th
```

Largest 8 diffraction maxima, low angle first, 2θ from 10° to 90°:
2theta	I (rel.)
30.3	14
31.3	100
32.5	13
33.0	30
33.6	19
47.7	15
57.8	18
58.6	15